# 1
The following is a computed PXRD pattern of Gd2Fe17C3. It was derived from a DFT-relaxed cell (GGA-PBE, the Materials Project), using Cu Ka.
No peak broadening, texture or thermal motion is included.

Peak list (10 most intense, 2θ = 10–90°, by intensity)
2θ/deg	I/Imax
42.2	100.0
41.7	74.4
43.6	51.4
29.8	42.3
35.9	39.8
37.5	27.2
60.8	21.0
61.5	21.0
61.9	19.5
43.1	17.2

Crystal structure
Cell: 6.505 6.505 6.505 Å, 83.55 83.55 83.55°
Positions (direct):
Gd 0.161 0.161 0.161
Gd 0.839 0.839 0.839
Fe 0.000 0.500 0.500
Fe 0.155 0.155 0.645
Fe 0.155 0.645 0.155
Fe 0.216 0.500 0.784
Fe 0.216 0.784 0.500
Fe 0.355 0.845 0.845
Fe 0.405 0.405 0.405
Fe 0.500 0.000 0.500
Fe 0.500 0.216 0.784
Fe 0.500 0.500 0.000
Fe 0.500 0.784 0.216
Fe 0.595 0.595 0.595
Fe 0.645 0.155 0.155
Fe 0.784 0.216 0.500
Fe 0.784 0.500 0.216
Fe 0.845 0.355 0.845
Fe 0.845 0.845 0.355
C 0.000 0.000 0.500
C 0.000 0.500 0.000
C 0.500 0.000 0.000

***

# 2
The following is a computed PXRD pattern of GaTeCl. It was derived from a DFT-relaxed cell (GGA-PBE, the Materials Project), using Cu Ka.
No peak broadening, texture or thermal motion is included.

Peak list (10 most intense, 2θ = 10–90°, by intensity)
2θ/deg	I/Imax
26.7	100.0
11.1	86.9
40.9	57.9
26.9	38.9
22.4	32.2
47.1	30.9
18.6	28.7
38.7	19.6
43.5	18.9
26.1	12.9

Crystal structure
Cell: 5.983 15.906 4.161 Å, 90.00 90.00 90.00°
Positions (direct):
Ga 0.028 0.191 0.000
Ga 0.472 0.691 0.500
Ga 0.528 0.309 0.500
Ga 0.972 0.809 0.000
Te 0.247 0.836 0.500
Te 0.253 0.336 0.000
Te 0.747 0.664 0.000
Te 0.753 0.164 0.500
Cl 0.241 0.583 0.500
Cl 0.259 0.083 0.000
Cl 0.741 0.917 0.000
Cl 0.759 0.417 0.500

***

# 3
The following is a computed PXRD pattern of HoAs. It was derived from a DFT-relaxed cell (GGA-PBE, the Materials Project), using Cu Ka.
No peak broadening, texture or thermal motion is included.

Peak list (10 most intense, 2θ = 10–90°, by intensity)
2θ/deg	I/Imax
30.8	100.0
44.2	74.5
72.9	33.6
54.8	26.2
81.3	25.3
26.6	24.0
64.2	12.2
52.3	11.8
70.8	4.8
87.4	3.9

Crystal structure
Cell: 4.101 4.101 4.101 Å, 60.00 60.00 60.00°
Positions (direct):
Ho 0.000 0.000 0.000
As 0.500 0.500 0.500

***

# 4
The following is a computed PXRD pattern of CaPH5O6. It was derived from a DFT-relaxed cell (GGA-PBE, the Materials Project), using Cu Ka.
No peak broadening, texture or thermal motion is included.

Peak list (10 most intense, 2θ = 10–90°, by intensity)
2θ/deg	I/Imax
11.7	100.0
20.9	95.9
29.3	79.5
30.2	52.3
34.1	48.7
41.6	40.1
33.8	37.3
48.5	17.9
36.7	15.4
49.9	15.0

Crystal structure
Cell: 8.225 8.225 5.900 Å, 101.07 101.07 133.93°
Positions (direct):
Ca 0.172 0.828 0.500
Ca 0.828 0.172 0.000
P 0.342 0.697 0.015
P 0.697 0.342 0.515
H 0.044 0.389 0.615
H 0.220 0.246 0.746
H 0.246 0.220 0.246
H 0.333 0.466 0.396
H 0.389 0.044 0.115
H 0.466 0.333 0.896
H 0.670 0.845 0.462
H 0.743 0.759 0.638
H 0.759 0.743 0.138
H 0.845 0.670 0.962
O 0.159 0.423 0.772
O 0.184 0.288 0.261
O 0.205 0.642 0.183
O 0.288 0.184 0.761
O 0.371 0.867 0.902
O 0.423 0.159 0.272
O 0.604 0.816 0.151
O 0.642 0.205 0.683
O 0.683 0.830 0.628
O 0.816 0.604 0.651
O 0.830 0.683 0.128
O 0.867 0.371 0.402

***

# 5
The following is a computed PXRD pattern of Mg3Si4Sb2O14. It was derived from a DFT-relaxed cell (GGA-PBE, the Materials Project), using Cu Ka.
No peak broadening, texture or thermal motion is included.

Peak list (10 most intense, 2θ = 10–90°, by intensity)
2θ/deg	I/Imax
12.5	100.0
29.8	43.6
36.8	32.4
37.3	31.9
21.7	26.2
29.6	24.1
18.9	23.1
26.8	21.6
18.2	20.8
28.3	20.8

Crystal structure
Cell: 9.512 9.512 10.518 Å, 120.36 120.36 51.43°
Positions (direct):
Mg 0.087 0.913 0.750
Mg 0.195 0.467 0.603
Mg 0.467 0.195 0.103
Mg 0.533 0.805 0.897
Mg 0.805 0.533 0.397
Mg 0.913 0.087 0.250
Si 0.009 0.233 0.116
Si 0.028 0.585 0.287
Si 0.233 0.009 0.616
Si 0.415 0.972 0.213
Si 0.585 0.028 0.787
Si 0.767 0.991 0.384
Si 0.972 0.415 0.713
Si 0.991 0.767 0.884
Sb 0.296 0.704 0.250
Sb 0.500 0.500 0.000
Sb 0.500 0.500 0.500
Sb 0.704 0.296 0.750
O 0.000 0.107 0.940
O 0.000 0.893 0.060
O 0.006 0.577 0.869
O 0.006 0.578 0.427
O 0.107 0.000 0.440
O 0.129 0.208 0.743
O 0.155 0.692 0.808
O 0.208 0.129 0.243
O 0.236 0.544 0.312
O 0.308 0.845 0.692
O 0.397 0.439 0.099
O 0.422 0.994 0.073
O 0.423 0.994 0.631
O 0.439 0.397 0.599
O 0.456 0.764 0.188
O 0.544 0.236 0.812
O 0.561 0.603 0.401
O 0.577 0.006 0.369
O 0.578 0.006 0.927
O 0.603 0.561 0.901
O 0.692 0.155 0.308
O 0.764 0.456 0.688
O 0.792 0.871 0.757
O 0.845 0.308 0.192
O 0.871 0.792 0.257
O 0.893 0.000 0.560
O 0.994 0.422 0.573
O 0.994 0.423 0.131

***

# 6
The following is a computed PXRD pattern of LiCu6OF11. It was derived from a DFT-relaxed cell (GGA-PBE, the Materials Project), using Cu Ka.
No peak broadening, texture or thermal motion is included.

Peak list (10 most intense, 2θ = 10–90°, by intensity)
2θ/deg	I/Imax
25.9	100.0
27.6	79.4
29.0	64.6
32.9	40.0
32.7	24.5
35.3	22.1
54.1	20.6
44.9	19.6
19.2	17.1
57.0	16.7

Crystal structure
Cell: 4.623 5.418 9.278 Å, 85.63 87.66 87.03°
Positions (direct):
Li 0.000 0.000 0.000
Cu 0.252 0.578 0.550
Cu 0.269 0.937 0.244
Cu 0.409 0.243 0.818
Cu 0.712 0.711 0.856
Cu 0.744 0.095 0.546
Cu 0.777 0.439 0.229
O 0.465 0.305 0.625
F 0.044 0.876 0.468
F 0.049 0.524 0.789
F 0.066 0.218 0.145
F 0.412 0.939 0.955
F 0.479 0.643 0.315
F 0.535 0.805 0.624
F 0.564 0.148 0.297
F 0.571 0.429 0.967
F 0.898 0.019 0.807
F 0.968 0.373 0.464
F 0.983 0.735 0.156

***

# 7
The following is a computed PXRD pattern of Ce2UO6. It was derived from a DFT-relaxed cell (GGA-PBE, the Materials Project), using Cu Ka.
No peak broadening, texture or thermal motion is included.

Peak list (10 most intense, 2θ = 10–90°, by intensity)
2θ/deg	I/Imax
28.3	100.0
32.8	43.8
46.9	33.9
47.3	33.2
28.5	31.2
55.9	29.2
55.7	15.4
56.2	15.2
75.7	12.7
87.5	11.4

Crystal structure
Cell: 3.872 3.872 9.381 Å, 90.00 90.00 120.00°
Positions (direct):
Ce 0.333 0.667 0.166
Ce 0.667 0.333 0.834
U 0.000 0.000 0.500
O 0.000 0.000 0.268
O 0.000 0.000 0.732
O 0.333 0.667 0.429
O 0.333 0.667 0.913
O 0.667 0.333 0.087
O 0.667 0.333 0.571

***

# 8
The following is a computed PXRD pattern of PmPbAu2. It was derived from a DFT-relaxed cell (GGA-PBE, the Materials Project), using Cu Ka.
No peak broadening, texture or thermal motion is included.

Peak list (7 most intense, 2θ = 10–90°, by intensity)
2θ/deg	I/Imax
34.7	100.0
62.2	37.8
49.9	18.2
83.7	17.1
73.2	11.8
21.0	1.2
40.9	0.8

Crystal structure
Cell: 5.170 5.170 5.170 Å, 60.00 60.00 60.00°
Positions (direct):
Pm 0.000 0.000 0.000
Pb 0.500 0.500 0.500
Au 0.250 0.250 0.250
Au 0.750 0.750 0.750